Structure and computed powder X-ray diffraction pattern of SrTc2Ir (a crystal structure in Alexandria, relaxed with PBE; copper Kα).
Intensities are scaled so that the largest is 100.

Main lines, by intensity (2θ from 10° to 90°):
d_spacing	2θ/deg	I (rel.)
2.310	39.0	100
2.537	35.4	37
1.417	65.9	21
2.392	37.6	18
4.483	19.8	17
2.700	33.2	16
1.740	52.6	14
1.319	71.5	13
2.218	40.7	9
1.791	51.0	9
1.543	59.9	8
1.670	55.0	8

Structural model:
```
data_SrTc2Ir
_symmetry_space_group_name_H-M 'P 1'
_symmetry_Int_Tables_number 1
_cell_length_a 5.631
_cell_length_b 5.631
_cell_length_c 5.631
_cell_angle_alpha 148.18
_cell_angle_beta 126.44
_cell_angle_gamma 63.66
loop_
_symmetry_equiv_pos_as_xyz
'x,y,z'
loop_
_atom_site_label
_atom_site_type_symbol
_atom_site_fract_x
_atom_site_fract_y
_atom_site_fract_z
Sr1 Sr 0.000 0.000 0.000
Tc1 Tc 0.291 0.791 0.500
Tc2 Tc 0.487 0.487 0.000
Ir1 Ir 0.714 0.214 0.500
```

Structure and computed powder X-ray diffraction pattern of Li5La (a crystal structure in Alexandria, relaxed with PBE; copper Kα).
Intensities are scaled so that the largest is 100.

Main lines, by intensity (2θ from 10° to 90°):
d_spacing	2θ/deg	I (rel.)
4.731	18.8	100
2.471	36.4	71
4.097	21.7	56
2.897	30.9	53
1.880	48.4	26
1.832	49.8	24
1.577	58.5	24
1.673	54.9	21
1.385	67.6	18
2.366	38.0	18
1.366	68.7	11
1.095	89.5	11

Structural model:
```
data_Li5La
_symmetry_space_group_name_H-M 'P 1'
_symmetry_Int_Tables_number 1
_cell_length_a 5.794
_cell_length_b 5.794
_cell_length_c 5.794
_cell_angle_alpha 60.00
_cell_angle_beta 60.00
_cell_angle_gamma 60.00
loop_
_symmetry_equiv_pos_as_xyz
'x,y,z'
loop_
_atom_site_label
_atom_site_type_symbol
_atom_site_fract_x
_atom_site_fract_y
_atom_site_fract_z
Li1 Li 0.000 0.000 0.000
Li2 Li 0.118 0.627 0.627
Li3 Li 0.627 0.118 0.627
Li4 Li 0.627 0.627 0.118
Li5 Li 0.627 0.627 0.627
La1 La 0.250 0.250 0.250
```